[1]
EuB6: computed XRD peak list (Cu Kα (weighted mean of Kα1 and Kα2)), based on a crystal structure in the Materials Project, relaxed with GGA-PBE.
Kinematic intensities with the Lorentz-polarization factor, no thermal factor.

Top 10 peaks for 2θ from 10° to 80°, sorted by position:
21.30 deg, I 65, (1 0 0)
30.31 deg, I 100, (1 1 0)
37.35 deg, I 42, (1 1 1)
43.39 deg, I 21, (2 0 0)
48.83 deg, I 50, (2 1 0)
53.85 deg, I 28, (2 1 1)
63.05 deg, I 10, (2 2 0)
67.36 deg, I 28, (2 2 1)
71.54 deg, I 20, (3 1 0)
75.63 deg, I 13, (3 1 1)

abc: 4.170 4.170 4.170
angles: 90.00 90.00 90.00
Fractional positions:
Eu 0.000 0.000 0.000
B 0.201 0.500 0.500
B 0.500 0.201 0.500
B 0.500 0.500 0.201
B 0.500 0.500 0.799
B 0.500 0.799 0.500
B 0.799 0.500 0.500

[2]
BIrO3: computed XRD peak list (Cu Kα (weighted mean of Kα1 and Kα2)), based on a crystal structure in the Materials Project, relaxed with GGA-PBE.
Kinematic intensities with the Lorentz-polarization factor, no thermal factor.

Top 7 peaks for 2θ from 10° to 80°, sorted by position:
26.09 deg, I 100, (1 0 0)
37.23 deg, I 99, (1 1 0)
46.02 deg, I 58, (1 1 1)
53.67 deg, I 30, (2 0 0)
60.62 deg, I 43, (2 1 0)
67.13 deg, I 37, (2 1 1)
79.34 deg, I 18, (2 2 0)

abc: 3.416 3.416 3.416
angles: 90.00 90.00 90.00
Fractional positions:
B 0.000 0.000 0.000
Ir 0.500 0.500 0.500
O 0.000 0.000 0.500
O 0.000 0.500 0.000
O 0.500 0.000 0.000

Number 1 is which compound?
EuB6